Simulated X-ray diffraction stick pattern
Compound: Li2Mn3F8
Radiation: a wavelength of 1.5418 Å
Structure: a structure optimized by DFT (GGA+U)
Neutral-atom scattering factors, no anomalous dispersion.

Main lines, by angle (10 to 90 degrees two-theta):
(1 0 0), 5.041 Å, 17.59 deg, I = 100; (1 0 -2), 4.423 Å, 20.07 deg, I = 28; (1 1 -2), 3.945 Å, 22.54 deg, I = 13; (0 1 2), 3.694 Å, 24.09 deg, I = 40; (1 2 -1), 3.476 Å, 25.63 deg, I = 17; (0 1 3), 2.595 Å, 34.56 deg, I = 20; (1 3 1), 2.255 Å, 39.99 deg, I = 26; (2 2 -3), 2.235 Å, 40.35 deg, I = 16; (2 3 -1), 2.031 Å, 44.61 deg, I = 13; (2 3 1), 1.717 Å, 53.35 deg, I = 14

Structure:
Cell lengths 5.810, 8.722, 9.401 Å; angles 90.00, 119.81, 90.00 degrees
Positions (direct):
1 Li 0.132 0.198 0.193
2 Li 0.132 0.302 0.693
3 Li 0.868 0.698 0.307
4 Li 0.868 0.802 0.807
5 Mn 0.496 0.146 0.606
6 Mn 0.496 0.354 0.106
7 Mn 0.500 0.000 0.000
8 Mn 0.500 0.500 0.500
9 Mn 0.504 0.646 0.894
10 Mn 0.504 0.854 0.394
11 F 0.233 0.695 0.390
12 F 0.233 0.805 0.890
13 F 0.254 0.153 0.042
14 F 0.254 0.347 0.542
15 F 0.292 0.056 0.366
16 F 0.292 0.444 0.866
17 F 0.357 0.117 0.768
18 F 0.357 0.383 0.268
19 F 0.643 0.617 0.732
20 F 0.643 0.883 0.232
21 F 0.708 0.556 0.134
22 F 0.708 0.944 0.634
23 F 0.746 0.653 0.458
24 F 0.746 0.847 0.958
25 F 0.767 0.195 0.110
26 F 0.767 0.305 0.610